(1)
LiTbAl6: computed X-ray diffraction stick pattern (λ = 1.5418 Å (Cu Kα)), based on a DFT-relaxed cell (PBE, Alexandria).

Atomic structure:
a b c (Å): 4.5939 6.1083 10.5694
angles (deg): 90.00 90.00 90.00
Sites, in units of the cell vectors:
1 Li 0.0000 0.0000 0.0000
2 Li 0.0000 0.5000 0.5000
3 Tb 0.5000 0.0000 0.3328
4 Tb 0.5000 0.5000 0.8328
5 Al 0.0000 0.0000 0.5169
6 Al 0.0000 0.2237 0.7409
7 Al 0.0000 0.2763 0.2409
8 Al 0.0000 0.5000 0.0169
9 Al 0.0000 0.7237 0.2409
10 Al 0.0000 0.7763 0.7409
11 Al 0.5000 0.0000 0.8341
12 Al 0.5000 0.2484 0.0823
13 Al 0.5000 0.2516 0.5823
14 Al 0.5000 0.5000 0.3341
15 Al 0.5000 0.7484 0.5823
16 Al 0.5000 0.7516 0.0823

The 6 most intense peaks (2θ from 10° to 80°), low angle first:
two_theta  I/Imax
16.77  100
25.69  72
33.91  45
35.30  41
39.29  100
39.34  38

---

(2)
LiTbAl4: computed X-ray diffraction stick pattern (λ = 1.5418 Å (Cu Kα)), based on a DFT-relaxed cell (PBE, Alexandria).

Atomic structure:
a b c (Å): 5.5318 5.5318 8.8338
angles (deg): 90.00 90.00 120.00
Sites, in units of the cell vectors:
1 Li 0.3333 0.6667 0.4454
2 Li 0.6667 0.3333 0.5546
3 Tb 0.3333 0.6667 0.0750
4 Tb 0.6667 0.3333 0.9250
5 Al 0.0000 0.0000 0.0000
6 Al 0.0000 0.0000 0.5000
7 Al 0.1708 0.3416 0.7484
8 Al 0.1708 0.8292 0.7484
9 Al 0.3416 0.1708 0.2516
10 Al 0.6584 0.8292 0.7484
11 Al 0.8292 0.1708 0.2516
12 Al 0.8292 0.6584 0.2516

The 6 most intense peaks (2θ from 10° to 80°), low angle first:
two_theta  I/Imax
10.01  100
21.10  39
27.47  43
33.96  36
35.79  45
38.40  32

---

(3)
LiTb6Al5: computed X-ray diffraction stick pattern (λ = 1.5418 Å (Cu Kα)), based on a DFT-relaxed cell (PBE, Alexandria).

Atomic structure:
a b c (Å): 8.1515 8.1515 7.2022
angles (deg): 90.00 90.00 143.17
Sites, in units of the cell vectors:
1 Li 0.0000 0.0000 0.0000
2 Tb 0.1678 0.8322 0.2488
3 Tb 0.1678 0.8322 0.7512
4 Tb 0.5000 0.5000 0.2517
5 Tb 0.5000 0.5000 0.7483
6 Tb 0.8322 0.1678 0.2488
7 Tb 0.8322 0.1678 0.7512
8 Al 0.0000 0.0000 0.5000
9 Al 0.3337 0.6663 0.5000
10 Al 0.3394 0.6606 0.0000
11 Al 0.6606 0.3394 0.0000
12 Al 0.6663 0.3337 0.5000

The 6 most intense peaks (2θ from 10° to 80°), low angle first:
two_theta  I/Imax
24.43  69
24.72  33
34.82  51
35.03  100
43.17  31
62.56  37

---

(4)
Li3Tb3AlTe8: computed X-ray diffraction stick pattern (λ = 1.5418 Å (Cu Kα)), based on a DFT-relaxed cell (PBE, Alexandria).

Atomic structure:
a b c (Å): 8.5914 8.5914 8.5914
angles (deg): 60.02 60.02 60.02
Sites, in units of the cell vectors:
1 Li 0.0000 0.5000 0.5000
2 Li 0.5000 0.0000 0.5000
3 Li 0.5000 0.5000 0.0000
4 Tb 0.0000 0.0000 0.5000
5 Tb 0.0000 0.5000 0.0000
6 Tb 0.5000 0.0000 0.0000
7 Al 0.5000 0.5000 0.5000
8 Te 0.2532 0.2532 0.2532
9 Te 0.2637 0.2637 0.7292
10 Te 0.2637 0.7292 0.2637
11 Te 0.2708 0.7363 0.7363
12 Te 0.7292 0.2637 0.2637
13 Te 0.7363 0.2708 0.7363
14 Te 0.7363 0.7363 0.2708
15 Te 0.7468 0.7468 0.7468

The 6 most intense peaks (2θ from 10° to 80°), low angle first:
two_theta  I/Imax
12.62  28
29.40  100
42.06  74
52.15  26
69.14  31
76.87  23

---

(5)
Li2Al5Tc2: computed X-ray diffraction stick pattern (λ = 1.5418 Å (Cu Kα)), based on a DFT-relaxed cell (PBE, Alexandria).

Atomic structure:
a b c (Å): 4.2787 4.2787 9.8036
angles (deg): 102.52 102.52 59.98
Sites, in units of the cell vectors:
1 Li 0.1969 0.1969 0.0900
2 Li 0.8031 0.8031 0.9100
3 Al 0.0000 0.0000 0.5000
4 Al 0.0931 0.0931 0.7803
5 Al 0.3888 0.3888 0.6656
6 Al 0.6112 0.6112 0.3344
7 Al 0.9069 0.9069 0.2197
8 Tc 0.2952 0.2952 0.3870
9 Tc 0.7048 0.7048 0.6130

The 6 most intense peaks (2θ from 10° to 80°), low angle first:
two_theta  I/Imax
24.83  50
28.75  65
32.69  44
39.93  100
42.25  99
43.36  54

---

(6)
Li2AlTe: computed X-ray diffraction stick pattern (λ = 1.5418 Å (Cu Kα)), based on a DFT-relaxed cell (PBE, Alexandria).

Atomic structure:
a b c (Å): 4.3923 4.3923 8.4390
angles (deg): 90.00 90.00 90.00
Sites, in units of the cell vectors:
1 Li 0.0000 0.5000 0.2500
2 Li 0.0000 0.5000 0.7500
3 Li 0.5000 0.0000 0.2500
4 Li 0.5000 0.0000 0.7500
5 Al 0.0000 0.0000 0.0000
6 Al 0.5000 0.5000 0.5000
7 Te 0.0000 0.0000 0.5000
8 Te 0.5000 0.5000 0.0000

The 6 most intense peaks (2θ from 10° to 80°), low angle first:
two_theta  I/Imax
21.05  66
22.82  100
28.74  60
35.90  87
41.10  30
46.62  31